No. 1
Structure and theoretical X-ray diffraction stick pattern of BaLi2PaCl8 (the PBE geometry in Alexandria; λ = 1.5418 Å (Cu Kα)).

Top 10 peaks for 10 to 80 degrees two-theta, in order of rising 2θ:
Position (°2θ)  I (rel.)
17.36  100
18.83  24
20.51  68
28.21  35
30.09  29
34.14  96
35.13  24
45.65  21
48.15  36
49.93  25

Cell and atoms:
Lattice parameters (Å, degrees): 10.1083 10.1083 10.1083 36.48 36.48 36.48
Fractional positions:
Ba1 0.0000 0.0000 0.0000
Li1 0.2508 0.2508 0.2508
Li2 0.7492 0.7492 0.7492
Pa1 0.5000 0.5000 0.5000
Cl1 0.1229 0.4178 0.7886
Cl2 0.2114 0.8771 0.5822
Cl3 0.3302 0.3302 0.3302
Cl4 0.4178 0.7886 0.1229
Cl5 0.5822 0.2114 0.8771
Cl6 0.6698 0.6698 0.6698
Cl7 0.7886 0.1229 0.4178
Cl8 0.8771 0.5822 0.2114



No. 2
Structure and theoretical X-ray diffraction stick pattern of Ba2LiPdCl6 (the PBE geometry in Alexandria; λ = 1.5418 Å (Cu Kα)).

Top 10 peaks for 10 to 80 degrees two-theta, in order of rising 2θ:
Position (°2θ)  I (rel.)
15.24  100
23.16  82
24.20  60
25.15  60
25.76  77
26.43  54
30.75  54
31.15  55
36.17  49
37.43  61

Cell and atoms:
Lattice parameters (Å, degrees): 6.7478 7.0996 7.3354 114.81 116.45 91.90
Fractional positions:
Ba1 0.2330 0.2179 0.4342
Ba2 0.7670 0.7821 0.5658
Li1 0.5000 0.0000 0.0000
Pd1 0.0000 0.5000 0.0000
Cl1 0.1941 0.8102 0.0094
Cl2 0.2379 0.8557 0.5688
Cl3 0.3631 0.3818 0.1455
Cl4 0.6369 0.6182 0.8545
Cl5 0.7621 0.1443 0.4312
Cl6 0.8059 0.1898 0.9906



No. 3
Structure and theoretical X-ray diffraction stick pattern of BaLiTeCl (the PBE geometry in Alexandria; λ = 1.5418 Å (Cu Kα)).

Top 10 peaks for 10 to 80 degrees two-theta, in order of rising 2θ:
Position (°2θ)  I (rel.)
20.61  33
21.03  37
23.82  43
28.32  100
31.96  44
35.83  74
42.35  18
46.29  25
58.39  20
59.88  23

Cell and atoms:
Lattice parameters (Å, degrees): 12.5570 12.5570 12.5570 23.02 23.02 23.02
Fractional positions:
Ba1 0.1102 0.1102 0.1102
Ba2 0.8898 0.8898 0.8898
Li1 0.3165 0.3165 0.3165
Li2 0.6835 0.6835 0.6835
Te1 0.0000 0.0000 0.0000
Te2 0.5000 0.5000 0.5000
Cl1 0.2524 0.2524 0.2524
Cl2 0.7476 0.7476 0.7476



No. 4
Structure and theoretical X-ray diffraction stick pattern of BaLi2TiCl8 (the PBE geometry in Alexandria; λ = 1.5418 Å (Cu Kα)).

Top 10 peaks for 10 to 80 degrees two-theta, in order of rising 2θ:
Position (°2θ)  I (rel.)
16.43  66
26.12  32
28.66  17
30.44  100
35.29  77
39.16  16
49.25  15
50.77  51
60.36  30
63.35  14

Cell and atoms:
Lattice parameters (Å, degrees): 6.2290 6.2290 8.8093 90.00 90.00 120.00
Fractional positions:
Ba1 0.0000 0.0000 0.0000
Li1 0.3333 0.6667 0.7273
Li2 0.6667 0.3333 0.2727
Ti1 0.0000 0.0000 0.5000
Cl1 0.0301 0.7131 0.3406
Cl2 0.2869 0.3170 0.3406
Cl3 0.3170 0.0301 0.6594
Cl4 0.3333 0.6667 0.9837
Cl5 0.6667 0.3333 0.0163
Cl6 0.6830 0.9699 0.3406
Cl7 0.7131 0.6830 0.6594
Cl8 0.9699 0.2869 0.6594



No. 5
Structure and theoretical X-ray diffraction stick pattern of Ba2MgCl (the PBE geometry in Alexandria; λ = 1.5418 Å (Cu Kα)).

Top 10 peaks for 10 to 80 degrees two-theta, in order of rising 2θ:
Position (°2θ)  I (rel.)
19.77  76
20.54  68
28.10  88
28.66  100
35.06  68
40.16  33
45.52  32
50.08  43
51.11  32
59.34  20

Cell and atoms:
Lattice parameters (Å, degrees): 6.3499 6.3533 4.3235 90.00 90.00 90.00
Fractional positions:
Ba1 0.0000 0.0000 0.0000
Ba2 0.5000 0.5000 0.0030
Mg1 0.0000 0.5000 0.5023
Cl1 0.5000 0.0000 0.0000



No. 6
Structure and theoretical X-ray diffraction stick pattern of Ba2MgCl (the PBE geometry in Alexandria; λ = 1.5418 Å (Cu Kα)).

Top 10 peaks for 10 to 80 degrees two-theta, in order of rising 2θ:
Position (°2θ)  I (rel.)
20.10  52
22.69  20
28.57  59
30.49  100
36.79  23
40.75  11
40.95  11
51.75  22
51.88  22
55.35  18

Cell and atoms:
Lattice parameters (Å, degrees): 6.2488 6.2488 3.9184 90.00 90.00 90.27
Fractional positions:
Ba1 0.0000 0.5000 0.0000
Ba2 0.5000 0.0000 0.0000
Mg1 0.0000 0.0000 0.5000
Cl1 0.5000 0.5000 0.5000



No. 7
Structure and theoretical X-ray diffraction stick pattern of BaMgCl2 (the PBE geometry in Alexandria; λ = 1.5418 Å (Cu Kα)).

Top 10 peaks for 10 to 80 degrees two-theta, in order of rising 2θ:
Position (°2θ)  I (rel.)
17.27  53
24.58  34
28.87  94
32.75  46
33.93  100
34.96  78
35.13  31
42.22  41
56.08  32
59.82  25

Cell and atoms:
Lattice parameters (Å, degrees): 3.8591 3.8752 10.2696 90.00 90.28 90.00
Fractional positions:
Ba1 0.0000 0.0000 0.0000
Mg1 0.5000 0.0000 0.5000
Cl1 0.4978 0.5000 0.8371
Cl2 0.5022 0.5000 0.1629



No. 8
Structure and theoretical X-ray diffraction stick pattern of BaMg2Cl7 (the PBE geometry in Alexandria; λ = 1.5418 Å (Cu Kα)).

Top 10 peaks for 10 to 80 degrees two-theta, in order of rising 2θ:
Position (°2θ)  I (rel.)
12.70  89
22.49  87
23.07  52
28.56  68
29.74  100
33.16  68
35.05  90
37.48  59
38.39  78
52.25  52

Cell and atoms:
Lattice parameters (Å, degrees): 7.7265 7.7265 4.7990 90.00 90.00 115.56
Fractional positions:
Ba1 0.0000 0.0000 0.0000
Mg1 0.2994 0.7006 0.5000
Mg2 0.7006 0.2994 0.5000
Cl1 0.0626 0.3206 0.5000
Cl2 0.2789 0.7211 0.0000
Cl3 0.3206 0.0626 0.5000
Cl4 0.5000 0.5000 0.5000
Cl5 0.6794 0.9374 0.5000
Cl6 0.7211 0.2789 0.0000
Cl7 0.9374 0.6794 0.5000